The following is a computed powder diffractogram of Pa3Be2Ni6. It was derived from a cell relaxed with PBE, using Cu Kα X-rays.
No peak broadening, texture or thermal motion is included.

Peak list (10 most intense, 5° ≤ 2θ ≤ 70°, in order of rising 2θ)
2theta	d (Å)	Rel. int.
20.80	4.271	27
25.55	3.487	37
29.58	3.020	35
33.17	2.701	46
36.44	2.466	57
39.48	2.283	53
42.33	2.135	33
45.03	2.013	100
59.26	1.559	24
67.61	1.386	28

Structure:
```
Pa3Be2Ni6
1.0
-4.2706 4.2706 4.2706
4.2706 -4.2706 4.2706
4.2706 4.2706 -4.2706
Pa Be Ni
6 4 12
direct
0.0000 0.2697 0.2697
0.0000 0.7303 0.7303
0.2697 0.0000 0.2697
0.2697 0.2697 0.0000
0.7303 0.0000 0.7303
0.7303 0.7303 0.0000
0.0000 0.0000 0.5000
0.0000 0.5000 0.0000
0.5000 0.0000 0.0000
0.5000 0.5000 0.5000
0.0000 0.3388 0.6612
0.0000 0.6612 0.3388
0.3225 0.6612 0.6612
0.3388 0.0000 0.6612
0.3388 0.3388 0.6775
0.3388 0.6612 0.0000
0.3388 0.6775 0.3388
0.6612 0.0000 0.3388
0.6612 0.3225 0.6612
0.6612 0.3388 0.0000
0.6612 0.6612 0.3225
0.6775 0.3388 0.3388
```